Entry 1:
The following is a simulated powder XRD pattern of SnGeS. It was derived from a crystal structure in Alexandria, relaxed with GGA-PBE, using copper Kα.
No peak broadening, texture or thermal motion is included.

Structure:
```
data_SnGeS
_chemical_formula_sum 'Sn2 Ge2 S2'
_space_group_name_H-M_alt 'P 1 m 1'
_space_group_IT_number 6
_cell_length_a 4.287
_cell_length_b 3.760
_cell_length_c 9.193
_cell_angle_alpha 90.00
_cell_angle_beta 102.83
_cell_angle_gamma 90.00
loop_
_space_group_symop_operation_xyz
'x,y,z'
'x,-y,z'
loop_
_atom_site_label
_atom_site_type_symbol
_atom_site_fract_x
_atom_site_fract_y
_atom_site_fract_z
Sn1 Sn 0.000 0.000 0.000
Sn2 Sn 0.020 0.000 0.423
Ge1 Ge 0.250 0.000 0.729
Ge2 Ge 0.496 0.500 0.358
S1 S 0.444 0.500 0.101
S2 S 0.609 0.500 0.737
```

Top 10 peaks for 2θ = 10–80°, by angle:
hkl  2theta  d [Å]  Rel. int.
0 0 2  19.8  4.482  17
0 1 0  23.7  3.760  17
1 0 -2  25.7  3.465  32
0 0 3  29.9  2.988  41
0 1 2  31.0  2.881  16
1 1 0  32.0  2.794  100
1 1 2  40.5  2.228  22
1 1 -3  40.8  2.212  29
0 1 4  47.2  1.925  19
0 2 0  48.4  1.880  18

Entry 2:
The following is a simulated powder XRD pattern of GaAgPtPb2. It was derived from a crystal structure in Alexandria, relaxed with GGA-PBE, using copper Kα.
No peak broadening, texture or thermal motion is included.

Structure:
```
data_GaAgPtPb2
_chemical_formula_sum 'Ga1 Ag1 Pt1 Pb2'
_space_group_name_H-M_alt 'P 1 m 1'
_space_group_IT_number 6
_cell_length_a 3.369
_cell_length_b 3.798
_cell_length_c 9.457
_cell_angle_alpha 90.00
_cell_angle_beta 99.86
_cell_angle_gamma 90.00
loop_
_space_group_symop_operation_xyz
'x,y,z'
'x,-y,z'
loop_
_atom_site_label
_atom_site_type_symbol
_atom_site_fract_x
_atom_site_fract_y
_atom_site_fract_z
Ga1 Ga 0.000 0.000 0.000
Ag1 Ag 0.885 0.500 0.760
Pt1 Pt 0.505 0.500 0.011
Pb1 Pb 0.290 0.000 0.565
Pb2 Pb 0.670 0.500 0.311
```

Top 10 peaks for 2θ = 10–80°, by angle:
hkl  2theta  d [Å]  Rel. int.
0 1 1  25.3  3.517  38
0 1 2  30.3  2.946  64
1 0 2  35.8  2.508  28
1 1 -1  36.0  2.497  100
1 0 -3  36.1  2.490  26
0 1 3  37.4  2.404  31
0 0 4  38.6  2.330  37
0 2 0  47.9  1.899  26
1 1 3  49.7  1.835  25
1 1 -4  50.0  1.825  25

Entry 3:
The following is a simulated powder XRD pattern of Yb5Sn3. It was derived from a crystal structure in Alexandria, relaxed with GGA-PBE, using copper Kα.
No peak broadening, texture or thermal motion is included.

Structure:
```
data_Yb5Sn3
_chemical_formula_sum 'Yb20 Sn12'
_space_group_name_H-M_alt 'I 4/m c m'
_space_group_IT_number 140
_space_group_name_Hall '-I 4 2c'
_cell_length_a 8.054
_cell_length_b 8.054
_cell_length_c 14.896
_cell_angle_alpha 90.00
_cell_angle_beta 90.00
_cell_angle_gamma 90.00
loop_
_atom_site_label
_atom_site_type_symbol
_atom_site_fract_x
_atom_site_fract_y
_atom_site_fract_z
Yb1 Yb 0.000 0.000 0.000
Yb2 Yb 0.169 0.331 0.149
Sn1 Sn 0.000 0.000 0.250
Sn2 Sn 0.128 0.372 0.500
```

Top 10 peaks for 2θ = 10–80°, by angle:
hkl  2theta  d [Å]  Rel. int.
1 1 4  28.6  3.117  13
2 1 3  30.7  2.916  100
2 2 0  31.4  2.847  13
2 0 4  32.8  2.734  33
3 1 0  35.2  2.547  46
0 0 6  36.2  2.483  13
4 1 3  50.2  1.818  16
3 3 4  54.2  1.691  13
3 1 8  61.7  1.503  16
5 2 3  65.1  1.432  12

Entry 4:
The following is a simulated powder XRD pattern of K2ErI6. It was derived from a crystal structure in Alexandria, relaxed with GGA-PBE, using copper Kα.
No peak broadening, texture or thermal motion is included.

Structure:
```
data_K2ErI6
_chemical_formula_sum 'K4 Er2 I12'
_space_group_name_H-M_alt 'A m m 2'
_space_group_IT_number 38
_cell_length_a 4.035
_cell_length_b 19.325
_cell_length_c 9.481
_cell_angle_alpha 90.00
_cell_angle_beta 90.00
_cell_angle_gamma 90.00
loop_
_space_group_symop_operation_xyz
'x,y,z'
'-x,-y,z'
'-x,y,z'
'x,-y,z'
'x,y+1/2,z+1/2'
'-x,-y+1/2,z+1/2'
'-x,y+1/2,z+1/2'
'x,-y+1/2,z+1/2'
loop_
_atom_site_label
_atom_site_type_symbol
_atom_site_fract_x
_atom_site_fract_y
_atom_site_fract_z
K1 K 0.000 0.159 0.000
Er1 Er 0.500 0.000 0.457
I1 I 0.000 0.000 0.708
I2 I 0.000 0.112 0.379
I3 I 0.500 0.000 0.102
I4 I 0.500 0.218 0.710
```

Top 10 peaks for 2θ = 10–80°, by angle:
hkl  2theta  d [Å]  Rel. int.
0 1 1  10.4  8.512  89
0 5 1  24.9  3.579  38
0 4 2  26.3  3.384  48
1 3 1  27.7  3.217  100
0 1 3  28.6  3.119  53
1 4 0  28.8  3.097  76
1 2 2  30.5  2.928  92
1 1 3  36.4  2.468  30
1 7 1  40.7  2.215  29
1 5 3  43.2  2.093  40

Entry 5:
The following is a simulated powder XRD pattern of Cs4Rb5Na. It was derived from a crystal structure in Alexandria, relaxed with GGA-PBE, using copper Kα.
No peak broadening, texture or thermal motion is included.

Structure:
```
data_Cs4Rb5Na
_chemical_formula_sum 'Cs8 Rb10 Na2'
_space_group_name_H-M_alt 'I 4 m m'
_space_group_IT_number 107
_space_group_name_Hall 'I 4 -2'
_cell_length_a 15.262
_cell_length_b 15.262
_cell_length_c 8.335
_cell_angle_alpha 90.00
_cell_angle_beta 90.00
_cell_angle_gamma 90.00
loop_
_atom_site_label
_atom_site_type_symbol
_atom_site_fract_x
_atom_site_fract_y
_atom_site_fract_z
Cs1 Cs 0.000 0.313 0.000
Rb1 Rb 0.000 0.000 0.193
Rb2 Rb 0.177 0.177 0.526
Na1 Na 0.000 0.000 0.727
```

Top 10 peaks for 2θ = 10–80°, by angle:
hkl  2theta  d [Å]  Rel. int.
2 1 1  16.8  5.281  13
3 0 1  20.5  4.342  100
0 0 2  21.3  4.167  18
3 3 0  24.7  3.597  36
3 3 2  32.9  2.723  21
6 0 0  35.3  2.544  13
3 0 3  36.9  2.438  16
6 3 1  41.1  2.195  25
6 0 2  41.6  2.171  10
6 3 3  51.9  1.760  9

Entry 6:
The following is a simulated powder XRD pattern of Tm2NiGe4Pt3. It was derived from a crystal structure in Alexandria, relaxed with GGA-PBE, using copper Kα.
No peak broadening, texture or thermal motion is included.

Structure:
```
data_Tm2NiGe4Pt3
_chemical_formula_sum 'Tm2 Ni1 Ge4 Pt3'
_space_group_name_H-M_alt 'P -4 m 2'
_space_group_IT_number 115
_cell_length_a 4.085
_cell_length_b 4.085
_cell_length_c 10.802
_cell_angle_alpha 90.00
_cell_angle_beta 90.00
_cell_angle_gamma 90.00
loop_
_space_group_symop_operation_xyz
'x,y,z'
'y,-x,-z'
'-x,-y,z'
'-y,x,-z'
'-x,y,z'
'-y,-x,-z'
'x,-y,z'
'y,x,-z'
loop_
_atom_site_label
_atom_site_type_symbol
_atom_site_fract_x
_atom_site_fract_y
_atom_site_fract_z
Tm1 Tm 0.000 0.500 0.234
Ni1 Ni 0.500 0.500 0.000
Ge1 Ge 0.000 0.000 0.500
Ge2 Ge 0.000 0.500 0.871
Ge3 Ge 0.500 0.500 0.500
Pt1 Pt 0.000 0.000 0.000
Pt2 Pt 0.000 0.500 0.645
```

Top 10 peaks for 2θ = 10–80°, by angle:
hkl  2theta  d [Å]  Rel. int.
1 0 2  27.4  3.258  27
1 0 3  33.2  2.701  58
1 1 2  35.2  2.547  100
2 0 0  44.3  2.043  61
1 1 4  46.0  1.973  23
1 0 5  47.6  1.910  39
2 1 3  56.5  1.629  27
2 2 0  64.5  1.444  21
2 1 5  67.1  1.395  28
3 1 2  75.7  1.256  22

Entry 7:
The following is a simulated powder XRD pattern of Rb2Na2PmO4. It was derived from a crystal structure in Alexandria, relaxed with GGA-PBE, using copper Kα.
No peak broadening, texture or thermal motion is included.

Structure:
```
data_Rb2Na2PmO4
_chemical_formula_sum 'Rb4 Na4 Pm2 O8'
_space_group_name_H-M_alt 'C 1 2/m 1'
_space_group_IT_number 12
_cell_length_a 13.180
_cell_length_b 3.769
_cell_length_c 9.292
_cell_angle_alpha 90.00
_cell_angle_beta 128.82
_cell_angle_gamma 90.00
loop_
_space_group_symop_operation_xyz
'x,y,z'
'-x,-y,-z'
'-x,y,-z'
'x,-y,z'
'x+1/2,y+1/2,z'
'-x+1/2,-y+1/2,-z'
'-x+1/2,y+1/2,-z'
'x+1/2,-y+1/2,z'
loop_
_atom_site_label
_atom_site_type_symbol
_atom_site_fract_x
_atom_site_fract_y
_atom_site_fract_z
Rb1 Rb 0.172 0.000 0.278
Na1 Na 0.147 0.500 0.876
Pm1 Pm 0.000 0.000 0.500
O1 O 0.062 0.500 0.405
O2 O 0.205 0.000 0.798
```

Top 10 peaks for 2θ = 10–80°, by angle:
hkl  2theta  d [Å]  Rel. int.
0 0 1  12.2  7.239  85
1 1 0  25.2  3.538  39
2 0 1  26.9  3.319  40
4 0 -2  27.2  3.277  36
2 0 -3  29.4  3.036  33
1 1 1  30.4  2.938  66
3 1 -2  32.4  2.764  100
3 1 -3  37.7  2.386  30
2 0 2  38.4  2.346  32
5 1 -1  44.6  2.032  44

Entry 8:
The following is a simulated powder XRD pattern of ThPa2AlC4. It was derived from a crystal structure in Alexandria, relaxed with GGA-PBE, using copper Kα.
No peak broadening, texture or thermal motion is included.

Structure:
```
data_ThPa2AlC4
_chemical_formula_sum 'Th4 Pa8 Al4 C16'
_space_group_name_H-M_alt 'C m c m'
_space_group_IT_number 63
_space_group_name_Hall '-C 2c 2'
_cell_length_a 3.612
_cell_length_b 11.802
_cell_length_c 11.939
_cell_angle_alpha 90.00
_cell_angle_beta 90.00
_cell_angle_gamma 90.00
loop_
_atom_site_label
_atom_site_type_symbol
_atom_site_fract_x
_atom_site_fract_y
_atom_site_fract_z
Th1 Th 0.000 0.106 0.250
Pa1 Pa 0.000 0.370 0.051
Al1 Al 0.000 0.160 0.750
C1 C 0.000 0.000 0.000
C2 C 0.000 0.266 0.620
C3 C 0.000 0.436 0.250
```

Top 10 peaks for 2θ = 10–80°, by angle:
hkl  2theta  d [Å]  Rel. int.
1 1 1  26.9  3.317  27
0 2 3  27.0  3.299  93
1 1 2  29.9  2.988  100
0 4 0  30.3  2.950  46
1 3 1  34.5  2.597  33
1 3 2  37.0  2.430  47
1 1 5  46.2  1.964  32
1 5 2  48.5  1.876  24
1 3 5  51.4  1.777  26
2 2 3  58.2  1.584  24

Entry 9:
The following is a simulated powder XRD pattern of Tl15In4Bi. It was derived from a crystal structure in Alexandria, relaxed with GGA-PBE, using copper Kα.
No peak broadening, texture or thermal motion is included.

Structure:
```
data_Tl15In4Bi
_chemical_formula_sum 'Tl15 In4 Bi1'
_space_group_name_H-M_alt 'P 4/m m m'
_space_group_IT_number 123
_space_group_name_Hall '-P 4 2'
_cell_length_a 5.448
_cell_length_b 5.448
_cell_length_c 20.520
_cell_angle_alpha 90.00
_cell_angle_beta 90.00
_cell_angle_gamma 90.00
loop_
_atom_site_label
_atom_site_type_symbol
_atom_site_fract_x
_atom_site_fract_y
_atom_site_fract_z
Tl1 Tl 0.000 0.000 0.000
Tl2 Tl 0.000 0.000 0.204
Tl3 Tl 0.000 0.000 0.402
Tl4 Tl 0.000 0.500 0.104
Tl5 Tl 0.000 0.500 0.303
Tl6 Tl 0.000 0.500 0.500
In1 In 0.500 0.500 0.207
In2 In 0.500 0.500 0.400
Bi1 Bi 0.500 0.500 0.000
```

Top 10 peaks for 2θ = 10–80°, by angle:
hkl  2theta  d [Å]  Rel. int.
1 1 5  31.9  2.809  100
2 0 0  32.9  2.724  47
0 0 10  44.1  2.052  10
2 2 0  47.2  1.926  17
2 0 10  56.1  1.639  20
3 1 5  58.1  1.589  37
2 2 10  66.6  1.404  12
1 1 15  73.5  1.289  9
3 3 5  78.0  1.226  8
4 2 0  78.5  1.218  8

Entry 10:
The following is a simulated powder XRD pattern of Tb6Hg5Bi. It was derived from a crystal structure in Alexandria, relaxed with GGA-PBE, using copper Kα.
No peak broadening, texture or thermal motion is included.

Structure:
```
data_Tb6Hg5Bi
_chemical_formula_sum 'Tb12 Hg10 Bi2'
_space_group_name_H-M_alt 'C 1 2/m 1'
_space_group_IT_number 12
_cell_length_a 16.891
_cell_length_b 7.445
_cell_length_c 5.342
_cell_angle_alpha 90.00
_cell_angle_beta 108.34
_cell_angle_gamma 90.00
loop_
_space_group_symop_operation_xyz
'x,y,z'
'-x,-y,-z'
'-x,y,-z'
'x,-y,z'
'x+1/2,y+1/2,z'
'-x+1/2,-y+1/2,-z'
'-x+1/2,y+1/2,-z'
'x+1/2,-y+1/2,z'
loop_
_atom_site_label
_atom_site_type_symbol
_atom_site_fract_x
_atom_site_fract_y
_atom_site_fract_z
Tb1 Tb 0.000 0.245 0.000
Tb2 Tb 0.169 0.248 0.669
Hg1 Hg 0.000 0.000 0.500
Hg2 Hg 0.167 0.000 0.167
Hg3 Hg 0.173 0.500 0.173
Bi1 Bi 0.000 0.500 0.500
```

Top 10 peaks for 2θ = 10–80°, by angle:
hkl  2theta  d [Å]  Rel. int.
2 0 1  23.5  3.778  2
2 0 -2  33.5  2.672  51
2 2 1  33.8  2.652  100
4 0 2  48.2  1.889  19
0 4 0  48.9  1.861  9
8 2 1  60.1  1.540  9
0 2 3  60.2  1.538  29
2 4 -2  60.6  1.527  19
4 0 -4  70.5  1.336  6
4 4 2  71.1  1.326  12

Entry 11:
The following is a simulated powder XRD pattern of AgP5. It was derived from a crystal structure in Alexandria, relaxed with GGA-PBE, using copper Kα.
No peak broadening, texture or thermal motion is included.

Structure:
```
data_AgP5
_chemical_formula_sum 'Ag2 P10'
_space_group_name_H-M_alt 'C 1 m 1'
_space_group_IT_number 8
_cell_length_a 10.857
_cell_length_b 3.164
_cell_length_c 8.147
_cell_angle_alpha 90.00
_cell_angle_beta 118.45
_cell_angle_gamma 90.00
loop_
_space_group_symop_operation_xyz
'x,y,z'
'x,-y,z'
'x+1/2,y+1/2,z'
'x+1/2,-y+1/2,z'
loop_
_atom_site_label
_atom_site_type_symbol
_atom_site_fract_x
_atom_site_fract_y
_atom_site_fract_z
Ag1 Ag 0.000 0.000 0.000
P1 P 0.110 0.500 0.322
P2 P 0.153 0.000 0.736
P3 P 0.238 0.500 0.952
P4 P 0.267 0.000 0.380
P5 P 0.339 0.000 0.692
```

Top 10 peaks for 2θ = 10–80°, by angle:
hkl  2theta  d [Å]  Rel. int.
0 0 1  12.4  7.164  100
2 0 -1  16.7  5.306  100
4 0 -1  33.4  2.679  31
4 0 -2  33.8  2.653  39
1 1 1  34.1  2.633  69
1 1 -2  36.0  2.493  45
0 0 3  37.7  2.388  45
3 1 -2  39.6  2.276  33
3 1 0  40.2  2.244  27
2 0 -4  44.8  2.023  37

Entry 12:
The following is a simulated powder XRD pattern of LiThAu4. It was derived from a crystal structure in Alexandria, relaxed with GGA-PBE, using copper Kα.
No peak broadening, texture or thermal motion is included.

Structure:
```
data_LiThAu4
_chemical_formula_sum 'Li4 Th4 Au16'
_space_group_name_H-M_alt 'F -4 3 m'
_space_group_IT_number 216
_space_group_name_Hall 'F -4 2 3'
_cell_length_a 7.922
_cell_length_b 7.922
_cell_length_c 7.922
_cell_angle_alpha 90.00
_cell_angle_beta 90.00
_cell_angle_gamma 90.00
loop_
_atom_site_label
_atom_site_type_symbol
_atom_site_fract_x
_atom_site_fract_y
_atom_site_fract_z
Li1 Li 0.000 0.000 0.000
Th1 Th 0.250 0.250 0.750
Au1 Au 0.126 0.126 0.374
```

Top 10 peaks for 2θ = 10–80°, by angle:
hkl  2theta  d [Å]  Rel. int.
1 1 1  19.4  4.574  39
2 0 0  22.4  3.961  14
2 2 0  32.0  2.801  12
3 1 1  37.7  2.389  100
2 2 2  39.4  2.287  60
4 0 0  45.8  1.981  14
3 3 1  50.2  1.818  11
5 1 1  60.7  1.525  34
4 4 0  66.8  1.400  30
5 3 3  79.3  1.208  12

Please write out number 4 again, unchanged.
The following is a simulated powder XRD pattern of K2ErI6. It was derived from a crystal structure in Alexandria, relaxed with GGA-PBE, using copper Kα.
No peak broadening, texture or thermal motion is included.

Structure:
```
data_K2ErI6
_chemical_formula_sum 'K4 Er2 I12'
_space_group_name_H-M_alt 'A m m 2'
_space_group_IT_number 38
_cell_length_a 4.035
_cell_length_b 19.325
_cell_length_c 9.481
_cell_angle_alpha 90.00
_cell_angle_beta 90.00
_cell_angle_gamma 90.00
loop_
_space_group_symop_operation_xyz
'x,y,z'
'-x,-y,z'
'-x,y,z'
'x,-y,z'
'x,y+1/2,z+1/2'
'-x,-y+1/2,z+1/2'
'-x,y+1/2,z+1/2'
'x,-y+1/2,z+1/2'
loop_
_atom_site_label
_atom_site_type_symbol
_atom_site_fract_x
_atom_site_fract_y
_atom_site_fract_z
K1 K 0.000 0.159 0.000
Er1 Er 0.500 0.000 0.457
I1 I 0.000 0.000 0.708
I2 I 0.000 0.112 0.379
I3 I 0.500 0.000 0.102
I4 I 0.500 0.218 0.710
```

Top 10 peaks for 2θ = 10–80°, by angle:
hkl  2theta  d [Å]  Rel. int.
0 1 1  10.4  8.512  89
0 5 1  24.9  3.579  38
0 4 2  26.3  3.384  48
1 3 1  27.7  3.217  100
0 1 3  28.6  3.119  53
1 4 0  28.8  3.097  76
1 2 2  30.5  2.928  92
1 1 3  36.4  2.468  30
1 7 1  40.7  2.215  29
1 5 3  43.2  2.093  40